The following is a theoretical XRD peak list of Ca3ScCoO6. It was derived from a DFT-relaxed cell (GGA+U, the Materials Project), using Cu Kα (λ = 1.5418 Å).
Peak positions follow from Bragg's law for the DFT cell and can differ from measured ones.

Atomic structure:
```
data_Ca3ScCoO6
_cell_length_a 9.2384
_cell_length_b 9.2384
_cell_length_c 10.5915
_cell_angle_alpha 90.00
_cell_angle_beta 90.00
_cell_angle_gamma 120.00
_space_group_name_H-M_alt 'R -3 c'
_space_group_IT_number 167
_space_group_name_Hall '-R 3 2"c'
loop_
_atom_site_label
_atom_site_type_symbol
_atom_site_fract_x
_atom_site_fract_y
_atom_site_fract_z
_atom_site_occupancy
Ca1 Ca 0.0000 0.3684 0.2500 1
Sc1 Sc 0.0000 0.0000 0.2500 1
Co1 Co 0.0000 0.0000 0.0000 1
O1 O 0.0238 0.1783 0.3879 1
```

Peak list (12 most intense, 10° ≤ 2θ ≤ 90°, sorted by position)
d = 4.619 Å, 2θ 19.21, intensity 51, hkl 1 1 0; d = 4.416 Å, 2θ 20.11, intensity 19, hkl 0 1 2; d = 2.805 Å, 2θ 31.90, intensity 46, hkl 1 1 3; d = 2.667 Å, 2θ 33.60, intensity 100, hkl 3 0 0; d = 2.208 Å, 2θ 40.87, intensity 33, hkl 0 2 4; d = 2.172 Å, 2θ 41.58, intensity 27, hkl 1 3 1; d = 2.047 Å, 2θ 44.26, intensity 14, hkl 3 1 2; d = 1.992 Å, 2θ 45.53, intensity 50, hkl 2 1 4; d = 1.933 Å, 2θ 47.01, intensity 53, hkl 2 2 3; d = 1.540 Å, 2θ 60.09, intensity 14, hkl 3 3 0; d = 1.508 Å, 2θ 61.47, intensity 31, hkl 3 2 4; d = 1.333 Å, 2θ 70.64, intensity 16, hkl 6 0 0

=====

The following is a theoretical XRD peak list of Li6Ni11O2F24. It was derived from a DFT-relaxed cell (GGA+U, the Materials Project), using Cu Kα (λ = 1.5418 Å).
Peak positions follow from Bragg's law for the DFT cell and can differ from measured ones.

Atomic structure:
```
data_Li6Ni11O2F24
_cell_length_a 7.9650
_cell_length_b 7.9720
_cell_length_c 8.6190
_cell_angle_alpha 73.74
_cell_angle_beta 73.44
_cell_angle_gamma 86.49
_space_group_name_H-M_alt 'P 1'
_space_group_IT_number 1
loop_
_space_group_symop_operation_xyz
'x,y,z'
loop_
_atom_site_label
_atom_site_type_symbol
_atom_site_fract_x
_atom_site_fract_y
_atom_site_fract_z
_atom_site_occupancy
Li1 Li 0.0000 0.0000 0.0000 1
Li2 Li 0.0791 0.6022 0.3446 1
Li3 Li 0.5087 0.2780 0.5556 1
Li4 Li 0.5967 0.8972 0.8952 1
Li5 Li 0.6858 0.5031 0.7171 1
Li6 Li 0.9075 0.3596 0.2058 1
Ni1 Ni 0.0178 0.7814 0.7060 1
Ni2 Ni 0.1053 0.4161 0.7491 1
Ni3 Ni 0.1659 0.0308 0.3349 1
Ni4 Ni 0.2479 0.6405 0.9240 1
Ni5 Ni 0.3368 0.2398 0.9766 1
Ni6 Ni 0.4022 0.8390 0.5806 1
Ni7 Ni 0.4969 0.4812 0.1448 1
Ni8 Ni 0.5799 0.0922 0.2084 1
Ni9 Ni 0.6623 0.6918 0.2946 1
Ni10 Ni 0.8002 0.9493 0.4553 1
Ni11 Ni 0.9296 0.1976 0.5993 1
O1 O 0.2325 0.6444 0.6977 1
O2 O 0.9486 0.1573 0.3800 1
F1 F 0.0226 0.7996 0.4464 1
F2 F 0.0356 0.7971 0.9309 1
F3 F 0.0906 0.4070 0.5223 1
F4 F 0.1175 0.3945 0.0039 1
F5 F 0.1771 0.0321 0.1003 1
F6 F 0.1859 0.0040 0.5723 1
F7 F 0.2742 0.6117 0.1547 1
F8 F 0.3190 0.2617 0.7492 1
F9 F 0.3542 0.2345 0.2214 1
F10 F 0.4220 0.8461 0.8061 1
F11 F 0.4309 0.8656 0.3262 1
F12 F 0.4763 0.4719 0.9121 1
F13 F 0.5053 0.4805 0.3747 1
F14 F 0.5501 0.0915 0.9864 1
F15 F 0.5637 0.0704 0.4615 1
F16 F 0.6392 0.7031 0.0670 1
F17 F 0.6447 0.7178 0.5334 1
F18 F 0.6993 0.3131 0.6303 1
F19 F 0.7030 0.3198 0.1361 1
F20 F 0.7907 0.9377 0.2136 1
F21 F 0.8026 0.9389 0.6995 1
F22 F 0.8797 0.5593 0.7754 1
F23 F 0.8807 0.5657 0.2793 1
F24 F 0.9564 0.1904 0.8283 1
```

Peak list (12 most intense, 10° ≤ 2θ ≤ 90°, sorted by position)
d = 6.470 Å, 2θ 13.69, intensity 60, hkl 0 1 1; d = 4.868 Å, 2θ 18.22, intensity 100, hkl 1 0 -1; d = 4.504 Å, 2θ 19.71, intensity 27, hkl 1 -1 1; d = 3.890 Å, 2θ 22.86, intensity 36, hkl 0 2 1; d = 2.605 Å, 2θ 34.43, intensity 17, hkl 2 1 3; d = 2.584 Å, 2θ 34.72, intensity 17, hkl 2 -2 1; d = 2.154 Å, 2θ 41.94, intensity 54, hkl 1 1 4; d = 2.139 Å, 2θ 42.26, intensity 51, hkl 3 -2 0; d = 2.101 Å, 2θ 43.05, intensity 53, hkl 2 3 0; d = 1.523 Å, 2θ 60.81, intensity 17, hkl 4 -1 4; d = 1.517 Å, 2θ 61.08, intensity 18, hkl 3 4 4; d = 1.491 Å, 2θ 62.25, intensity 29, hkl 5 1 0

=====

The following is a theoretical XRD peak list of K2VAuF6. It was derived from a DFT-relaxed cell (GGA+U, the Materials Project), using Cu Kα (λ = 1.5418 Å).
Peak positions follow from Bragg's law for the DFT cell and can differ from measured ones.

Atomic structure:
```
data_K2VAuF6
_cell_length_a 8.8209
_cell_length_b 8.8209
_cell_length_c 8.8209
_cell_angle_alpha 90.00
_cell_angle_beta 90.00
_cell_angle_gamma 90.00
_space_group_name_H-M_alt 'F m -3 m'
_space_group_IT_number 225
_space_group_name_Hall '-F 4 2 3'
loop_
_atom_site_label
_atom_site_type_symbol
_atom_site_fract_x
_atom_site_fract_y
_atom_site_fract_z
_atom_site_occupancy
K1 K 0.2500 0.2500 0.2500 1
V1 V 0.0000 0.0000 0.0000 1
Au1 Au 0.0000 0.0000 0.5000 1
F1 F 0.0000 0.0000 0.2220 1
```

Peak list (12 most intense, 10° ≤ 2θ ≤ 90°, sorted by position)
d = 5.093 Å, 2θ 17.41, intensity 36, hkl 1 1 1; d = 4.410 Å, 2θ 20.13, intensity 58, hkl 2 0 0; d = 3.119 Å, 2θ 28.62, intensity 100, hkl 2 2 0; d = 2.660 Å, 2θ 33.70, intensity 35, hkl 3 1 1; d = 2.205 Å, 2θ 40.92, intensity 41, hkl 4 0 0; d = 2.024 Å, 2θ 44.79, intensity 22, hkl 3 3 1; d = 1.972 Å, 2θ 46.02, intensity 25, hkl 4 2 0; d = 1.801 Å, 2θ 50.70, intensity 38, hkl 4 2 2; d = 1.559 Å, 2θ 59.26, intensity 24, hkl 4 4 0; d = 1.470 Å, 2θ 63.25, intensity 12, hkl 6 0 0; d = 1.395 Å, 2θ 67.11, intensity 19, hkl 6 2 0; d = 1.179 Å, 2θ 81.69, intensity 21, hkl 6 4 2

=====

The following is a theoretical XRD peak list of TiMn3Sb2P6O24. It was derived from a DFT-relaxed cell (GGA+U, the Materials Project), using Cu Kα (λ = 1.5418 Å).
Peak positions follow from Bragg's law for the DFT cell and can differ from measured ones.

Atomic structure:
```
data_TiMn3Sb2P6O24
_cell_length_a 8.7287
_cell_length_b 8.7287
_cell_length_c 21.8917
_cell_angle_alpha 90.00
_cell_angle_beta 90.00
_cell_angle_gamma 120.00
_space_group_name_H-M_alt 'R 3'
_space_group_IT_number 146
_space_group_name_Hall 'R 3'
loop_
_atom_site_label
_atom_site_type_symbol
_atom_site_fract_x
_atom_site_fract_y
_atom_site_fract_z
_atom_site_occupancy
Ti1 Ti 0.0000 0.0000 0.0000 1
Mn1 Mn 0.0000 0.0000 0.2061 1
Mn2 Mn 0.0000 0.0000 0.5043 1
Mn3 Mn 0.0000 0.0000 0.6998 1
Sb1 Sb 0.0000 0.0000 0.3526 1
Sb2 Sb 0.0000 0.0000 0.8427 1
P1 P 0.0013 0.2971 0.6043 1
P2 P 0.0446 0.6680 0.7709 1
O1 O 0.0103 0.1789 0.2730 1
O2 O 0.0116 0.2123 0.5449 1
O3 O 0.0205 0.8371 0.7723 1
O4 O 0.1368 0.6716 0.8303 1
O5 O 0.1383 0.4616 0.3295 1
O6 O 0.1530 0.6779 0.7136 1
O7 O 0.1646 0.6897 0.0974 1
O8 O 0.1672 0.4879 0.6064 1
```

Peak list (12 most intense, 10° ≤ 2θ ≤ 90°, sorted by position)
d = 6.220 Å, 2θ 14.24, intensity 23, hkl 0 1 2; d = 4.364 Å, 2θ 20.35, intensity 100, hkl 1 1 0; d = 3.746 Å, 2θ 23.76, intensity 67, hkl 1 1 3; d = 3.573 Å, 2θ 24.92, intensity 28, hkl 2 0 2; d = 2.799 Å, 2θ 31.97, intensity 95, hkl 1 1 6; d = 2.765 Å, 2θ 32.38, intensity 19, hkl 3 -2 2; d = 2.520 Å, 2θ 35.63, intensity 40, hkl 3 0 0; d = 2.073 Å, 2θ 43.66, intensity 16, hkl 0 3 6; d = 1.976 Å, 2θ 45.92, intensity 26, hkl 1 2 8; d = 1.873 Å, 2θ 48.62, intensity 35, hkl 2 2 6; d = 1.650 Å, 2θ 55.72, intensity 25, hkl 1 4 0; d = 1.503 Å, 2θ 61.71, intensity 26, hkl 4 1 6

=====

The following is a theoretical XRD peak list of Sr3V2O8. It was derived from a DFT-relaxed cell (GGA+U, the Materials Project), using Cu Kα (λ = 1.5418 Å).
Peak positions follow from Bragg's law for the DFT cell and can differ from measured ones.

Atomic structure:
```
data_Sr3V2O8
_cell_length_a 5.7226
_cell_length_b 5.7226
_cell_length_c 20.2559
_cell_angle_alpha 90.00
_cell_angle_beta 90.00
_cell_angle_gamma 120.00
_space_group_name_H-M_alt 'R -3 m'
_space_group_IT_number 166
_space_group_name_Hall '-R 3 2"'
loop_
_atom_site_label
_atom_site_type_symbol
_atom_site_fract_x
_atom_site_fract_y
_atom_site_fract_z
_atom_site_occupancy
Sr1 Sr 0.0000 0.0000 0.0000 1
Sr2 Sr 0.0000 0.0000 0.2013 1
V1 V 0.0000 0.0000 0.4059 1
O1 O 0.0000 0.0000 0.3208 1
O2 O 0.0007 0.5004 0.2321 1
```

Peak list (12 most intense, 10° ≤ 2θ ≤ 90°, sorted by position)
d = 3.137 Å, 2θ 28.46, intensity 97, hkl 0 1 5; d = 2.861 Å, 2θ 31.26, intensity 100, hkl 1 1 0; d = 2.114 Å, 2θ 42.78, intensity 47, hkl 2 0 5; d = 1.875 Å, 2θ 48.55, intensity 30, hkl 1 0 10; d = 1.700 Å, 2θ 53.93, intensity 32, hkl 1 2 5; d = 1.652 Å, 2θ 55.64, intensity 18, hkl 3 0 0; d = 1.568 Å, 2θ 58.89, intensity 13, hkl 0 2 10; d = 1.431 Å, 2θ 65.21, intensity 19, hkl 2 2 0; d = 1.375 Å, 2θ 68.19, intensity 21, hkl 2 1 10; d = 1.302 Å, 2θ 72.64, intensity 13, hkl 3 1 5; d = 1.221 Å, 2θ 78.29, intensity 15, hkl 1 1 15; d = 1.137 Å, 2θ 85.34, intensity 11, hkl 1 3 10

=====

The following is a theoretical XRD peak list of Ba2MgMo4Se4O22. It was derived from a DFT-relaxed cell (GGA+U, the Materials Project), using Cu Kα (λ = 1.5418 Å).
Peak positions follow from Bragg's law for the DFT cell and can differ from measured ones.

Atomic structure:
```
data_Ba2MgMo4Se4O22
_cell_length_a 7.9160
_cell_length_b 8.1454
_cell_length_c 9.0801
_cell_angle_alpha 89.90
_cell_angle_beta 65.41
_cell_angle_gamma 89.77
_space_group_name_H-M_alt 'P 1'
_space_group_IT_number 1
loop_
_space_group_symop_operation_xyz
'x,y,z'
loop_
_atom_site_label
_atom_site_type_symbol
_atom_site_fract_x
_atom_site_fract_y
_atom_site_fract_z
_atom_site_occupancy
Ba1 Ba 0.0000 0.0000 0.0000 1
Ba2 Ba 0.4296 0.4991 0.0439 1
Mg1 Mg 0.7737 0.8811 0.3866 1
Mo1 Mo 0.0521 0.4977 0.8346 1
Mo2 Mo 0.3831 0.9978 0.2710 1
Mo3 Mo 0.5830 0.0064 0.8323 1
Mo4 Mo 0.8350 0.5261 0.2583 1
Se1 Se 0.0830 0.6522 0.4695 1
Se2 Se 0.3219 0.1659 0.6233 1
Se3 Se 0.4511 0.6751 0.6517 1
Se4 Se 0.9098 0.1838 0.4631 1
O1 O 0.0245 0.0357 0.3169 1
O2 O 0.0291 0.4275 0.0420 1
O3 O 0.0670 0.5038 0.3391 1
O4 O 0.0910 0.7086 0.8519 1
O5 O 0.1106 0.2487 0.7580 1
O6 O 0.1674 0.5244 0.5760 1
O7 O 0.2332 0.0317 0.5200 1
O8 O 0.2845 0.7497 0.3395 1
O9 O 0.3427 0.0208 0.7530 1
O10 O 0.3809 0.4848 0.7386 1
O11 O 0.3865 0.2089 0.2392 1
O12 O 0.4041 0.9318 0.0696 1
O13 O 0.5249 0.7503 0.7919 1
O14 O 0.5345 0.2183 0.8802 1
O15 O 0.6060 0.9611 0.2747 1
O16 O 0.6422 0.4948 0.2150 1
O17 O 0.6808 0.6535 0.4879 1
O18 O 0.7281 0.0404 0.5749 1
O19 O 0.7844 0.9404 0.8572 1
O20 O 0.7914 0.2837 0.3694 1
O21 O 0.8219 0.4920 0.8600 1
O22 O 0.9260 0.7400 0.2006 1
```

Peak list (12 most intense, 10° ≤ 2θ ≤ 90°, sorted by position)
d = 4.073 Å, 2θ 21.82, intensity 91, hkl 0 2 0; d = 3.982 Å, 2θ 22.33, intensity 60, hkl -1 1 1; d = 3.957 Å, 2θ 22.47, intensity 73, hkl 2 0 1; d = 3.922 Å, 2θ 22.67, intensity 51, hkl 1 1 2; d = 3.653 Å, 2θ 24.37, intensity 100, hkl 0 2 1; d = 3.599 Å, 2θ 24.74, intensity 32, hkl 2 0 0; d = 3.559 Å, 2θ 25.02, intensity 62, hkl 2 -1 1; d = 3.539 Å, 2θ 25.16, intensity 32, hkl 2 0 2; d = 2.874 Å, 2θ 31.11, intensity 82, hkl 1 1 -2; d = 2.840 Å, 2θ 31.51, intensity 63, hkl 1 1 3; d = 2.833 Å, 2θ 31.58, intensity 81, hkl 1 -1 3; d = 1.978 Å, 2θ 45.88, intensity 44, hkl 4 0 2

=====

The following is a theoretical XRD peak list of Li4Cr5FeO12. It was derived from a DFT-relaxed cell (GGA+U, the Materials Project), using Cu Kα (λ = 1.5418 Å).
Peak positions follow from Bragg's law for the DFT cell and can differ from measured ones.

Atomic structure:
```
data_Li4Cr5FeO12
_cell_length_a 5.1378
_cell_length_b 8.9348
_cell_length_c 10.1364
_cell_angle_alpha 90.00
_cell_angle_beta 90.19
_cell_angle_gamma 90.00
_space_group_name_H-M_alt 'C 1 2/m 1'
_space_group_IT_number 12
loop_
_space_group_symop_operation_xyz
'x,y,z'
'-x,-y,-z'
'-x,y,-z'
'x,-y,z'
'x+1/2,y+1/2,z'
'-x+1/2,-y+1/2,-z'
'-x+1/2,y+1/2,-z'
'x+1/2,-y+1/2,z'
loop_
_atom_site_label
_atom_site_type_symbol
_atom_site_fract_x
_atom_site_fract_y
_atom_site_fract_z
_atom_site_occupancy
Li1 Li 0.0990 0.2483 0.2503 1
Cr1 Cr 0.0000 0.1653 0.0000 1
Cr2 Cr 0.0000 0.3348 0.5000 1
Cr3 Cr 0.0000 0.5000 0.0000 1
Fe1 Fe 0.0000 0.0000 0.5000 1
O1 O 0.1638 0.1731 0.6071 1
O2 O 0.1636 0.3284 0.8946 1
O3 O 0.1697 0.0000 0.9067 1
O4 O 0.1763 0.5000 0.5962 1
```

Peak list (12 most intense, 10° ≤ 2θ ≤ 90°, sorted by position)
d = 5.068 Å, 2θ 17.50, intensity 100, hkl 0 0 2; d = 2.569 Å, 2θ 34.93, intensity 7, hkl 2 0 0; d = 2.497 Å, 2θ 35.97, intensity 29, hkl 1 3 1; d = 2.296 Å, 2θ 39.24, intensity 17, hkl 2 0 -2; d = 2.288 Å, 2θ 39.38, intensity 8, hkl 2 0 2; d = 2.049 Å, 2θ 44.21, intensity 34, hkl 1 3 -3; d = 1.807 Å, 2θ 50.51, intensity 8, hkl 2 0 -4; d = 1.801 Å, 2θ 50.69, intensity 7, hkl 2 0 4; d = 1.595 Å, 2θ 57.83, intensity 9, hkl 1 3 -5; d = 1.592 Å, 2θ 57.93, intensity 8, hkl 1 3 5; d = 1.469 Å, 2θ 63.31, intensity 16, hkl 3 3 -1; d = 1.429 Å, 2θ 65.31, intensity 5, hkl 0 6 2